For CaReO4, a structure optimized by DFT (PBE) gives the theoretical powder diffraction line list in this record (Cu Kα (λ = 1.5418 Å)).
Intensities are scaled so that the largest is 100.

Crystal structure
```
data_CaReO4
_space_group_name_H-M_alt 'P 1'
_space_group_IT_number 1
_cell_length_a 5.263
_cell_length_b 12.646
_cell_length_c 5.046
_cell_angle_alpha 90.00
_cell_angle_beta 90.00
_cell_angle_gamma 90.00
loop_
_space_group_symop_operation_xyz
'x,y,z'
loop_
_atom_site_label
_atom_site_fract_x
_atom_site_fract_y
_atom_site_fract_z
_atom_site_occupancy
Ca1 0.000 0.159 0.250 1
Ca2 0.000 0.841 0.750 1
Ca3 0.500 0.341 0.750 1
Ca4 0.500 0.659 0.250 1
Re1 0.000 0.419 0.250 1
Re2 0.000 0.581 0.750 1
Re3 0.500 0.081 0.750 1
Re4 0.500 0.919 0.250 1
O1 0.203 0.457 0.545 1
O2 0.203 0.543 0.045 1
O3 0.212 0.320 0.106 1
O4 0.212 0.680 0.606 1
O5 0.288 0.180 0.606 1
O6 0.288 0.820 0.106 1
O7 0.297 0.043 0.045 1
O8 0.297 0.957 0.545 1
O9 0.703 0.043 0.455 1
O10 0.703 0.957 0.955 1
O11 0.712 0.180 0.894 1
O12 0.712 0.820 0.394 1
O13 0.788 0.320 0.394 1
O14 0.788 0.680 0.894 1
O15 0.797 0.457 0.955 1
O16 0.797 0.543 0.455 1
```

Peak list (6 most intense, 10 to 90 degrees two-theta, in order of rising 2θ)
2θ/deg  I (rel.)
14.0  29.5
18.3  100.0
22.5  44.3
25.4  68.1
32.5  75.1
48.5  33.6

=====

For Ca2ScReO6, a structure optimized by DFT (PBE) gives the theoretical powder diffraction line list in this record (Cu Kα (λ = 1.5418 Å)).
Intensities are scaled so that the largest is 100.

Crystal structure
```
data_Ca2ScReO6
_space_group_name_H-M_alt 'P 1'
_space_group_IT_number 1
_cell_length_a 5.748
_cell_length_b 8.011
_cell_length_c 5.612
_cell_angle_alpha 90.00
_cell_angle_beta 90.00
_cell_angle_gamma 90.00
loop_
_space_group_symop_operation_xyz
'x,y,z'
loop_
_atom_site_label
_atom_site_fract_x
_atom_site_fract_y
_atom_site_fract_z
_atom_site_occupancy
Ca1 0.052 0.244 0.000 1
Ca2 0.448 0.744 0.500 1
Ca3 0.552 0.256 0.500 1
Ca4 0.948 0.756 0.000 1
Sc1 0.000 0.500 0.500 1
Sc2 0.500 0.000 0.000 1
Re1 0.000 0.000 0.500 1
Re2 0.500 0.500 0.000 1
O1 0.017 0.756 0.500 1
O2 0.241 0.003 0.255 1
O3 0.241 0.003 0.745 1
O4 0.259 0.503 0.245 1
O5 0.259 0.503 0.755 1
O6 0.483 0.256 0.000 1
O7 0.517 0.744 0.000 1
O8 0.741 0.497 0.245 1
O9 0.741 0.497 0.755 1
O10 0.759 0.997 0.255 1
O11 0.759 0.997 0.745 1
O12 0.983 0.244 0.500 1
```

Peak list (6 most intense, 10 to 90 degrees two-theta, in order of rising 2θ)
2θ/deg  I (rel.)
19.0  47.4
19.3  40.8
22.2  78.7
31.5  100.0
37.4  25.4
45.2  35.9

=====

For Ca2SmReO8, a structure optimized by DFT (PBE) gives the theoretical powder diffraction line list in this record (Cu Kα (λ = 1.5418 Å)).
Intensities are scaled so that the largest is 100.

Crystal structure
```
data_Ca2SmReO8
_space_group_name_H-M_alt 'P 1'
_space_group_IT_number 1
_cell_length_a 4.678
_cell_length_b 5.285
_cell_length_c 6.724
_cell_angle_alpha 90.07
_cell_angle_beta 90.25
_cell_angle_gamma 90.51
loop_
_space_group_symop_operation_xyz
'x,y,z'
loop_
_atom_site_label
_atom_site_fract_x
_atom_site_fract_y
_atom_site_fract_z
_atom_site_occupancy
Ca1 0.001 0.000 0.267 1
Ca2 0.999 0.000 0.733 1
Sm1 0.500 0.500 0.000 1
Re1 0.500 0.500 0.500 1
O1 0.266 0.368 0.287 1
O2 0.268 0.366 0.711 1
O3 0.280 0.795 0.501 1
O4 0.352 0.942 0.000 1
O5 0.648 0.058 0.000 1
O6 0.720 0.205 0.499 1
O7 0.732 0.634 0.289 1
O8 0.734 0.632 0.713 1
```

Peak list (6 most intense, 10 to 90 degrees two-theta, in order of rising 2θ)
2θ/deg  I (rel.)
16.8  95.1
19.0  92.4
25.3  100.0
25.5  89.5
31.5  74.9
32.7  57.8

=====

For CaTb2ReO8, a structure optimized by DFT (PBE) gives the theoretical powder diffraction line list in this record (Cu Kα (λ = 1.5418 Å)).
Intensities are scaled so that the largest is 100.

Crystal structure
```
data_CaTb2ReO8
_space_group_name_H-M_alt 'P 1'
_space_group_IT_number 1
_cell_length_a 5.034
_cell_length_b 5.034
_cell_length_c 6.969
_cell_angle_alpha 90.00
_cell_angle_beta 90.00
_cell_angle_gamma 90.78
loop_
_space_group_symop_operation_xyz
'x,y,z'
loop_
_atom_site_label
_atom_site_fract_x
_atom_site_fract_y
_atom_site_fract_z
_atom_site_occupancy
Ca1 0.000 0.000 0.000 1
Tb1 0.500 0.500 0.251 1
Tb2 0.500 0.500 0.749 1
Re1 0.000 0.000 0.500 1
O1 0.182 0.818 0.304 1
O2 0.182 0.818 0.696 1
O3 0.272 0.272 0.500 1
O4 0.314 0.314 0.000 1
O5 0.686 0.686 0.000 1
O6 0.728 0.728 0.500 1
O7 0.818 0.182 0.304 1
O8 0.818 0.182 0.696 1
```

Peak list (6 most intense, 10 to 90 degrees two-theta, in order of rising 2θ)
2θ/deg  I (rel.)
24.8  57.1
25.2  52.8
31.2  100.0
35.7  27.3
47.9  39.4
48.3  37.3

=====

For Ca2YReO6, a structure optimized by DFT (PBE) gives the theoretical powder diffraction line list in this record (Cu Kα (λ = 1.5418 Å)).
Intensities are scaled so that the largest is 100.

Crystal structure
```
data_Ca2YReO6
_space_group_name_H-M_alt 'P 1'
_space_group_IT_number 1
_cell_length_a 5.576
_cell_length_b 5.576
_cell_length_c 4.934
_cell_angle_alpha 90.00
_cell_angle_beta 90.00
_cell_angle_gamma 90.00
loop_
_space_group_symop_operation_xyz
'x,y,z'
loop_
_atom_site_label
_atom_site_fract_x
_atom_site_fract_y
_atom_site_fract_z
_atom_site_occupancy
Ca1 0.000 0.500 0.000 1
Ca2 0.500 0.000 0.000 1
Y1 0.000 0.000 0.603 1
Re1 0.500 0.500 0.586 1
O1 0.000 0.000 0.170 1
O2 0.270 0.270 0.741 1
O3 0.270 0.730 0.741 1
O4 0.500 0.500 0.231 1
O5 0.730 0.270 0.741 1
O6 0.730 0.730 0.741 1
```

Peak list (6 most intense, 10 to 90 degrees two-theta, in order of rising 2θ)
2θ/deg  I (rel.)
18.0  40.0
22.5  44.0
29.0  100.0
32.1  38.3
46.0  25.8
55.3  32.0

=====

For CaRh3O6, a structure optimized by DFT (PBE) gives the theoretical powder diffraction line list in this record (Cu Kα (λ = 1.5418 Å)).
Intensities are scaled so that the largest is 100.

Crystal structure
```
data_CaRh3O6
_space_group_name_H-M_alt 'P 1'
_space_group_IT_number 1
_cell_length_a 8.933
_cell_length_b 3.131
_cell_length_c 9.210
_cell_angle_alpha 90.00
_cell_angle_beta 115.99
_cell_angle_gamma 90.00
loop_
_space_group_symop_operation_xyz
'x,y,z'
loop_
_atom_site_label
_atom_site_fract_x
_atom_site_fract_y
_atom_site_fract_z
_atom_site_occupancy
Ca1 0.126 0.250 0.393 1
Ca2 0.874 0.750 0.607 1
Rh1 0.145 0.750 0.991 1
Rh2 0.252 0.250 0.761 1
Rh3 0.450 0.250 0.338 1
Rh4 0.550 0.750 0.662 1
Rh5 0.748 0.750 0.239 1
Rh6 0.855 0.250 0.009 1
O1 0.050 0.250 0.815 1
O2 0.147 0.750 0.600 1
O3 0.228 0.250 0.144 1
O4 0.325 0.750 0.918 1
O5 0.356 0.750 0.426 1
O6 0.453 0.250 0.725 1
O7 0.547 0.750 0.275 1
O8 0.644 0.250 0.574 1
O9 0.675 0.250 0.082 1
O10 0.772 0.750 0.856 1
O11 0.853 0.250 0.400 1
O12 0.950 0.750 0.185 1
```

Peak list (6 most intense, 10 to 90 degrees two-theta, in order of rising 2θ)
2θ/deg  I (rel.)
18.5  92.0
19.9  40.3
28.3  42.8
34.7  86.8
35.0  100.0
40.6  31.8